For Ca2Bi3O8, a crystal structure in the Materials Project, relaxed with PBE gives the calculated X-ray powder pattern in this record (a wavelength of 1.5418 Å).
Peak positions follow from Bragg's law for the DFT cell and can differ from measured ones.

Principal peaks in the range 10° ≤ 2θ ≤ 80°, in order of rising 2θ:
(2 0 0), 16.1°, I 100; (1 1 1), 24.6°, I 23; (3 1 -1), 27.2°, I 19; (2 0 -2), 31.1°, I 64; (2 2 -1), 32.2°, I 52; (0 0 2), 33.1°, I 25; (4 2 -1), 40.7°, I 40; (4 2 1), 50.1°, I 24

Atomic structure:
Cell lengths 11.825, 6.802, 5.813 Å; angles 90.00, 111.35, 90.00 degrees
Space group C2/m (No. 12)
One atom of each set of equivalent atoms:
Ca 0.221 0.000 0.144
Bi 0.000 0.237 0.500
Bi 0.000 0.500 0.000
O 0.104 0.000 0.414
O 0.109 0.500 0.441
O 0.121 0.266 0.887